Diffraction record for SrP2. The powder X-ray diffraction pattern is theoretical, not measured: it uses a DFT-relaxed cell (PBE, the Materials Project) and Cu Kα, 1.54184 Å.

Peak list (8 most intense, 2θ from 10° to 90°, sorted by position)
| hkl | 2θ (°) | I/Imax |
| --- | --- | --- |
| 0 3 1 | 26.9 | 48 |
| 1 3 -1 | 27.0 | 90 |
| 1 1 1 | 30.3 | 49 |
| 0 1 2 | 30.6 | 100 |
| 2 1 -2 | 31.0 | 47 |
| 2 2 -1 | 33.3 | 51 |
| 1 4 -1 | 33.6 | 40 |
| 2 3 -3 | 43.8 | 31 |

Structure:
a b c (Å): 6.1740 11.9123 7.5103
angles (deg): 90.00 126.60 90.00
Space group P2_1/c (No. 14)
Inequivalent atoms, fractional coordinates:
Sr: 0.0000 0.0000 0.0000 x2
Sr: 0.2878 0.1665 0.6849 x4
P: 0.1622 0.6953 0.3338 x4
P: 0.2986 0.6291 0.9394 x4
P: 0.4324 0.5997 0.2880 x4

---

Diffraction record for Sr3P2. The powder X-ray diffraction pattern is theoretical, not measured: it uses a DFT-relaxed cell (PBE, the Materials Project) and Cu Kα, 1.54184 Å.

Peak list (8 most intense, 2θ from 10° to 90°, sorted by position)
| hkl | 2θ (°) | I/Imax |
| --- | --- | --- |
| 1 1 6 | 23.3 | 27 |
| 2 0 6 | 26.9 | 30 |
| 3 1 0 | 30.2 | 100 |
| 3 2 3 | 35.9 | 61 |
| 2 2 12 | 47.6 | 20 |
| 4 3 3 | 49.6 | 18 |
| 3 1 12 | 49.6 | 20 |
| 4 1 15 | 64.5 | 10 |

Structure:
a b c (Å): 9.3777 9.3777 28.0466
angles (deg): 90.00 90.00 90.00
Space group I-42d (No. 122)
Inequivalent atoms, fractional coordinates:
Sr: 0.0577 0.1918 0.0642 x16
Sr: 0.0661 0.1943 0.3892 x16
Sr: 0.0799 0.1653 0.7306 x16
P: 0.0000 0.0000 0.1638 x8
P: 0.1211 0.2500 0.6250 x8
P: 0.1478 0.2392 0.2875 x16

---

Repeat the first record exactly.
Diffraction record for SrP2. The powder X-ray diffraction pattern is theoretical, not measured: it uses a DFT-relaxed cell (PBE, the Materials Project) and Cu Kα, 1.54184 Å.

Peak list (8 most intense, 2θ from 10° to 90°, sorted by position)
| hkl | 2θ (°) | I/Imax |
| --- | --- | --- |
| 0 3 1 | 26.9 | 48 |
| 1 3 -1 | 27.0 | 90 |
| 1 1 1 | 30.3 | 49 |
| 0 1 2 | 30.6 | 100 |
| 2 1 -2 | 31.0 | 47 |
| 2 2 -1 | 33.3 | 51 |
| 1 4 -1 | 33.6 | 40 |
| 2 3 -3 | 43.8 | 31 |

Structure:
a b c (Å): 6.1740 11.9123 7.5103
angles (deg): 90.00 126.60 90.00
Space group P2_1/c (No. 14)
Inequivalent atoms, fractional coordinates:
Sr: 0.0000 0.0000 0.0000 x2
Sr: 0.2878 0.1665 0.6849 x4
P: 0.1622 0.6953 0.3338 x4
P: 0.2986 0.6291 0.9394 x4
P: 0.4324 0.5997 0.2880 x4